Entry 1:
Structure and computed powder X-ray diffraction pattern of NaErNb4N8 (DFT lattice parameters and positions (GGA-PBE); Cu Kα).

Principal peaks in the range 2θ = 15–90°, sorted by position:
2θ 27.5, I 91.5; 2θ 32.3, I 55.7; 2θ 32.8, I 91.8; 2θ 33.0, I 100.0; 2θ 56.9, I 41.8; 2θ 58.1, I 41.4

```
data_NaErNb4N8
_space_group_name_H-M_alt 'P 1'
_space_group_IT_number 1
_cell_length_a 6.479
_cell_length_b 6.479
_cell_length_c 6.479
_cell_angle_alpha 58.73
_cell_angle_beta 58.73
_cell_angle_gamma 58.73
loop_
_space_group_symop_operation_xyz
'x,y,z'
loop_
_atom_site_label
_atom_site_type_symbol
_atom_site_fract_x
_atom_site_fract_y
_atom_site_fract_z
_atom_site_occupancy
Na1 Na 0.000 0.000 0.000 1
Er1 Er 0.617 0.617 0.617 1
Nb1 Nb 0.372 0.372 0.372 1
Nb2 Nb 0.510 0.994 0.994 1
Nb3 Nb 0.994 0.510 0.994 1
Nb4 Nb 0.994 0.994 0.510 1
N1 N 0.197 0.745 0.745 1
N2 N 0.235 0.235 0.235 1
N3 N 0.260 0.260 0.744 1
N4 N 0.260 0.744 0.260 1
N5 N 0.744 0.260 0.260 1
N6 N 0.745 0.197 0.745 1
N7 N 0.745 0.745 0.197 1
N8 N 0.757 0.757 0.757 1
```

Entry 2:
Structure and computed powder X-ray diffraction pattern of LiPm2SiPd6 (DFT lattice parameters and positions (GGA-PBE); Cu Kα).

Principal peaks in the range 2θ = 15–90°, sorted by position:
2θ 29.1, I 32.0; 2θ 29.9, I 47.2; 2θ 31.2, I 40.3; 2θ 38.5, I 100.0; 2θ 39.4, I 55.1; 2θ 42.2, I 42.2

```
data_LiPm2SiPd6
_space_group_name_H-M_alt 'P 1'
_space_group_IT_number 1
_cell_length_a 6.388
_cell_length_b 6.388
_cell_length_c 8.010
_cell_angle_alpha 126.85
_cell_angle_beta 126.85
_cell_angle_gamma 51.77
loop_
_space_group_symop_operation_xyz
'x,y,z'
loop_
_atom_site_label
_atom_site_type_symbol
_atom_site_fract_x
_atom_site_fract_y
_atom_site_fract_z
_atom_site_occupancy
Li1 Li 0.000 0.000 0.000 1
Pm1 Pm 0.258 0.258 0.783 1
Pm2 Pm 0.742 0.742 0.217 1
Si1 Si 0.500 0.500 0.500 1
Pd1 Pd 0.232 0.739 0.247 1
Pd2 Pd 0.248 0.248 0.392 1
Pd3 Pd 0.261 0.768 0.753 1
Pd4 Pd 0.739 0.232 0.247 1
Pd5 Pd 0.752 0.752 0.608 1
Pd6 Pd 0.768 0.261 0.753 1
```

Entry 3:
Structure and computed powder X-ray diffraction pattern of Na3Sn3SbS8 (DFT lattice parameters and positions (GGA-PBE); Cu Kα).

Principal peaks in the range 2θ = 15–90°, sorted by position:
2θ 27.0, I 35.4; 2θ 31.9, I 100.0; 2θ 40.8, I 19.7; 2θ 44.3, I 37.1; 2θ 47.0, I 32.9; 2θ 49.0, I 18.8

```
data_Na3Sn3SbS8
_space_group_name_H-M_alt 'P 1'
_space_group_IT_number 1
_cell_length_a 8.200
_cell_length_b 8.200
_cell_length_c 8.200
_cell_angle_alpha 56.22
_cell_angle_beta 56.22
_cell_angle_gamma 56.22
loop_
_space_group_symop_operation_xyz
'x,y,z'
loop_
_atom_site_label
_atom_site_type_symbol
_atom_site_fract_x
_atom_site_fract_y
_atom_site_fract_z
_atom_site_occupancy
Na1 Na 0.000 0.500 0.500 1
Na2 Na 0.500 0.000 0.500 1
Na3 Na 0.500 0.500 0.000 1
Sn1 Sn 0.000 0.000 0.500 1
Sn2 Sn 0.000 0.500 0.000 1
Sn3 Sn 0.500 0.000 0.000 1
Sb1 Sb 0.500 0.500 0.500 1
S1 S 0.234 0.745 0.745 1
S2 S 0.242 0.242 0.242 1
S3 S 0.255 0.255 0.766 1
S4 S 0.255 0.766 0.255 1
S5 S 0.745 0.234 0.745 1
S6 S 0.745 0.745 0.234 1
S7 S 0.758 0.758 0.758 1
S8 S 0.766 0.255 0.255 1
```